[1]
Computed powder XRD pattern
Compound: Li4MnCo2O7
Radiation: Cu Ka
Structure: a DFT-relaxed cell (PBE+U, Alexandria)
Lines closer than 0.1° are merged.

Atomic structure:
a b c (Å): 5.096 7.657 7.742
angles (deg): 60.64 78.27 71.73
Positions (direct):
Li 0.000 0.000 0.000
Li 0.000 0.128 0.296
Li 0.008 0.863 0.704
Li 0.009 0.564 0.141
Li 0.014 0.281 0.568
Li 0.507 0.998 0.500
Li 0.994 0.712 0.437
Li 0.998 0.422 0.858
Mn 0.502 0.854 0.219
Mn 0.509 0.709 0.926
Co 0.493 0.572 0.642
Co 0.502 0.275 0.085
Co 0.504 0.142 0.778
Co 0.513 0.422 0.359
O 0.262 0.425 0.615
O 0.270 0.846 0.448
O 0.273 0.119 0.052
O 0.275 0.576 0.893
O 0.281 0.983 0.768
O 0.287 0.293 0.312
O 0.296 0.700 0.174
O 0.721 0.278 0.833
O 0.725 0.702 0.695
O 0.726 0.577 0.388
O 0.728 0.847 0.975
O 0.736 0.986 0.245
O 0.739 0.161 0.531
O 0.741 0.439 0.093

Main lines, in order of rising 2θ (15 to 90 degrees two-theta):
two_theta  I_rel
18.37  100
35.82  14
35.93  14
36.45  13
43.30  29
43.53  28
44.15  27
47.78  9
63.05  15
63.13  8

***

[2]
Computed powder XRD pattern
Compound: Li7Mn2Co3O12
Radiation: Cu Ka
Structure: a DFT-relaxed cell (PBE+U, Alexandria)
Lines closer than 0.1° are merged.

Atomic structure:
a b c (Å): 5.901 2.875 12.952
angles (deg): 90.00 102.76 90.00
Positions (direct):
Li 0.000 0.000 0.000
Li 0.002 0.500 0.504
Li 0.157 0.500 0.829
Li 0.317 0.000 0.658
Li 0.491 0.500 0.501
Li 0.678 0.000 0.352
Li 0.830 0.500 0.171
Mn 0.167 0.000 0.344
Mn 0.665 0.500 0.833
Co 0.332 0.500 0.169
Co 0.488 0.000 0.001
Co 0.834 0.000 0.650
O 0.067 0.500 0.672
O 0.114 0.000 0.178
O 0.237 0.000 0.488
O 0.253 0.500 0.000
O 0.389 0.500 0.336
O 0.443 0.000 0.837
O 0.553 0.000 0.165
O 0.602 0.500 0.684
O 0.728 0.500 0.992
O 0.743 0.000 0.509
O 0.885 0.000 0.836
O 0.941 0.500 0.332

Main lines, in order of rising 2θ (15 to 90 degrees two-theta):
two_theta  I_rel
15.42  10
18.30  100
35.52  16
36.39  26
42.96  29
43.98  55
47.76  8
57.78  9
62.99  23
63.34  14

***

[3]
Computed powder XRD pattern
Compound: Li4MnCo2O7
Radiation: Cu Ka
Structure: a DFT-relaxed cell (PBE+U, Alexandria)
Lines closer than 0.1° are merged.

Atomic structure:
a b c (Å): 14.890 14.890 5.781
angles (deg): 96.33 96.33 11.03
Positions (direct):
Li 0.000 0.000 0.000
Li 0.000 0.000 0.500
Li 0.135 0.135 0.558
Li 0.296 0.296 0.152
Li 0.435 0.435 0.712
Li 0.565 0.565 0.288
Li 0.704 0.704 0.848
Li 0.865 0.865 0.442
Mn 0.291 0.291 0.646
Mn 0.709 0.709 0.354
Co 0.136 0.136 0.066
Co 0.433 0.433 0.223
Co 0.567 0.567 0.777
Co 0.864 0.864 0.934
O 0.069 0.069 0.563
O 0.072 0.072 0.006
O 0.204 0.204 0.116
O 0.212 0.212 0.589
O 0.365 0.365 0.708
O 0.366 0.366 0.162
O 0.494 0.494 0.242
O 0.506 0.506 0.758
O 0.634 0.634 0.838
O 0.635 0.635 0.292
O 0.788 0.788 0.411
O 0.796 0.796 0.884
O 0.928 0.928 0.994
O 0.931 0.931 0.437

Main lines, in order of rising 2θ (15 to 90 degrees two-theta):
two_theta  I_rel
18.51  100
35.76  12
36.68  30
38.02  10
42.98  22
44.56  52
58.68  11
63.30  12
63.97  11
64.48  8

***

[4]
Computed powder XRD pattern
Compound: Li7Mn2Co3O12
Radiation: Cu Ka
Structure: a DFT-relaxed cell (PBE+U, Alexandria)
Lines closer than 0.1° are merged.

Atomic structure:
a b c (Å): 14.620 14.620 5.148
angles (deg): 100.11 100.11 11.41
Positions (direct):
Li 0.000 0.000 0.000
Li 0.171 0.171 0.829
Li 0.324 0.324 0.707
Li 0.500 0.500 0.498
Li 0.672 0.672 0.338
Li 0.749 0.749 0.763
Li 0.829 0.829 0.196
Mn 0.416 0.416 0.092
Mn 0.584 0.584 0.909
Co 0.085 0.085 0.410
Co 0.250 0.250 0.265
Co 0.915 0.915 0.592
O 0.045 0.045 0.726
O 0.121 0.121 0.087
O 0.212 0.212 0.510
O 0.287 0.287 0.018
O 0.380 0.380 0.373
O 0.453 0.453 0.809
O 0.547 0.547 0.190
O 0.622 0.622 0.633
O 0.713 0.713 0.071
O 0.788 0.788 0.463
O 0.877 0.877 0.915
O 0.955 0.955 0.271

Main lines, in order of rising 2θ (15 to 90 degrees two-theta):
two_theta  I_rel
17.50  11
18.59  100
35.43  14
36.03  29
37.70  11
43.30  28
43.80  59
57.96  12
62.89  15
63.69  14

***

[5]
Computed powder XRD pattern
Compound: Li5Mn2CoO8
Radiation: Cu Ka
Structure: a DFT-relaxed cell (PBE+U, Alexandria)
Lines closer than 0.1° are merged.

Atomic structure:
a b c (Å): 5.125 2.879 9.838
angles (deg): 90.00 100.99 90.00
Positions (direct):
Li 0.000 0.000 0.000
Li 0.222 0.500 0.229
Li 0.262 0.000 0.763
Li 0.738 0.000 0.237
Li 0.778 0.500 0.771
Mn 0.500 0.000 0.500
Mn 0.500 0.500 0.000
Co 0.000 0.500 0.500
O 0.139 0.000 0.393
O 0.157 0.500 0.880
O 0.384 0.000 0.110
O 0.402 0.500 0.613
O 0.598 0.500 0.387
O 0.616 0.000 0.890
O 0.843 0.500 0.120
O 0.861 0.000 0.607

Main lines, in order of rising 2θ (15 to 90 degrees two-theta):
two_theta  I_rel
17.63  11
18.26  11
18.37  100
35.69  13
36.28  26
43.68  92
57.48  10
62.27  8
63.31  16
63.62  16

***

[6]
Computed powder XRD pattern
Compound: Li4MnCo2O7
Radiation: Cu Ka
Structure: a DFT-relaxed cell (PBE+U, Alexandria)
Lines closer than 0.1° are merged.

Atomic structure:
a b c (Å): 10.752 10.752 8.190
angles (deg): 101.96 101.96 15.51
Positions (direct):
Li 0.000 0.000 0.000
Li 0.000 0.000 0.500
Li 0.139 0.139 0.561
Li 0.291 0.291 0.155
Li 0.438 0.438 0.705
Li 0.562 0.562 0.295
Li 0.709 0.709 0.845
Li 0.861 0.861 0.439
Mn 0.145 0.145 0.077
Mn 0.855 0.855 0.923
Co 0.284 0.284 0.639
Co 0.431 0.431 0.238
Co 0.569 0.569 0.762
Co 0.716 0.716 0.361
O 0.006 0.006 0.763
O 0.143 0.143 0.844
O 0.153 0.153 0.319
O 0.278 0.278 0.401
O 0.291 0.291 0.881
O 0.416 0.416 0.951
O 0.425 0.425 0.453
O 0.575 0.575 0.547
O 0.584 0.584 0.049
O 0.709 0.709 0.119
O 0.722 0.722 0.599
O 0.847 0.847 0.681
O 0.857 0.857 0.156
O 0.994 0.994 0.237

Main lines, in order of rising 2θ (15 to 90 degrees two-theta):
two_theta  I_rel
18.27  100
36.22  24
36.45  12
43.55  53
44.25  24
48.06  8
57.19  10
62.39  7
63.39  13
64.22  19

***

[7]
Computed powder XRD pattern
Compound: Li4MnCo2O7
Radiation: Cu Ka
Structure: a DFT-relaxed cell (PBE+U, Alexandria)
Lines closer than 0.1° are merged.

Atomic structure:
a b c (Å): 5.047 5.100 10.417
angles (deg): 84.68 77.95 71.26
Positions (direct):
Li 0.000 0.000 0.000
Li 0.056 0.505 0.862
Li 0.213 0.499 0.570
Li 0.371 0.488 0.285
Li 0.500 0.500 0.000
Li 0.629 0.512 0.715
Li 0.787 0.501 0.430
Li 0.944 0.495 0.138
Mn 0.437 0.988 0.140
Mn 0.563 0.012 0.860
Co 0.126 0.017 0.722
Co 0.290 0.990 0.433
Co 0.710 0.010 0.567
Co 0.874 0.983 0.278
O 0.024 0.770 0.427
O 0.132 0.204 0.279
O 0.204 0.757 0.145
O 0.279 0.224 0.000
O 0.320 0.787 0.846
O 0.380 0.231 0.721
O 0.461 0.762 0.564
O 0.539 0.238 0.436
O 0.620 0.769 0.279
O 0.680 0.213 0.154
O 0.721 0.776 0.000
O 0.796 0.243 0.855
O 0.868 0.796 0.721
O 0.976 0.230 0.573

Main lines, in order of rising 2θ (15 to 90 degrees two-theta):
two_theta  I_rel
18.38  100
35.46  15
36.20  13
36.83  14
42.69  29
43.92  28
44.64  26
62.92  22
64.00  7
64.99  7

***

[8]
Computed powder XRD pattern
Compound: Li7Mn4CoO12
Radiation: Cu Ka
Structure: a DFT-relaxed cell (PBE+U, Alexandria)
Lines closer than 0.1° are merged.

Atomic structure:
a b c (Å): 5.269 6.011 7.787
angles (deg): 75.65 74.35 69.16
Positions (direct):
Li 0.000 0.000 0.000
Li 0.002 0.675 0.344
Li 0.013 0.318 0.664
Li 0.023 0.172 0.345
Li 0.027 0.851 0.670
Li 0.509 0.995 0.503
Li 0.990 0.484 0.997
Mn 0.501 0.159 0.831
Mn 0.504 0.666 0.832
Mn 0.507 0.496 0.500
Mn 0.509 0.839 0.172
Co 0.509 0.333 0.173
O 0.265 0.978 0.758
O 0.266 0.478 0.739
O 0.271 0.151 0.083
O 0.274 0.817 0.409
O 0.298 0.346 0.410
O 0.307 0.668 0.092
O 0.715 0.000 0.239
O 0.716 0.638 0.588
O 0.728 0.344 0.933
O 0.740 0.177 0.588
O 0.741 0.844 0.929
O 0.745 0.520 0.262

Main lines, in order of rising 2θ (15 to 90 degrees two-theta):
two_theta  I_rel
18.39  100
34.12  15
36.50  23
40.84  33
44.53  26
44.70  26
61.99  23
62.30  8
64.59  7
65.27  7

***

[9]
Computed powder XRD pattern
Compound: Li7Mn4CoO12
Radiation: Cu Ka
Structure: a DFT-relaxed cell (PBE+U, Alexandria)
Lines closer than 0.1° are merged.

Atomic structure:
a b c (Å): 5.079 5.964 7.637
angles (deg): 81.14 77.47 75.63
Positions (direct):
Li 0.000 0.000 0.000
Li 0.001 0.184 0.321
Li 0.487 0.349 0.158
Li 0.980 0.365 0.649
Li 0.980 0.511 0.996
Li 0.988 0.681 0.319
Li 0.991 0.854 0.651
Mn 0.485 0.516 0.486
Mn 0.492 0.675 0.825
Mn 0.492 0.850 0.157
Mn 0.493 0.179 0.824
Co 0.487 0.026 0.482
O 0.253 0.347 0.418
O 0.256 0.531 0.735
O 0.258 0.871 0.391
O 0.266 0.690 0.063
O 0.275 0.152 0.066
O 0.282 0.989 0.740
O 0.707 0.547 0.244
O 0.711 0.370 0.890
O 0.712 0.681 0.582
O 0.721 0.005 0.245
O 0.721 0.168 0.579
O 0.725 0.828 0.918

Main lines, in order of rising 2θ (15 to 90 degrees two-theta):
two_theta  I_rel
18.35  100
34.66  15
36.37  24
41.76  33
44.17  28
44.32  28
62.37  16
62.45  8
62.68  8
64.95  10

***

[10]
Computed powder XRD pattern
Compound: Li7Mn2Co3O12
Radiation: Cu Ka
Structure: a DFT-relaxed cell (PBE+U, Alexandria)
Lines closer than 0.1° are merged.

Atomic structure:
a b c (Å): 4.955 8.851 5.090
angles (deg): 90.00 108.42 90.00
Positions (direct):
Li 0.000 0.000 0.000
Li 0.000 0.152 0.500
Li 0.000 0.500 0.500
Li 0.000 0.848 0.500
Li 0.500 0.000 0.500
Li 0.500 0.331 0.500
Li 0.500 0.669 0.500
Mn 0.000 0.333 0.000
Mn 0.000 0.667 0.000
Co 0.500 0.159 0.000
Co 0.500 0.500 0.000
Co 0.500 0.841 0.000
O 0.240 0.500 0.217
O 0.243 0.185 0.226
O 0.243 0.815 0.226
O 0.253 0.343 0.780
O 0.253 0.657 0.780
O 0.276 0.000 0.756
O 0.724 0.000 0.244
O 0.747 0.343 0.220
O 0.747 0.657 0.220
O 0.757 0.185 0.774
O 0.757 0.815 0.774
O 0.760 0.500 0.783

Main lines, in order of rising 2θ (15 to 90 degrees two-theta):
two_theta  I_rel
18.37  100
35.94  26
36.86  12
43.48  57
44.49  27
47.78  8
57.34  10
63.01  7
63.27  23
64.67  14